Starting from a DFT-relaxed cell (GGA-PBE, Alexandria), the powder diffraction line list of Tb5Pm2Ho12 was calculated for λ = 1.5418 Å (Cu Kα).

Main lines, by angle (5° ≤ 2θ ≤ 70°):
two_theta, d_spacing, Rel. int., index
30.88, 2.896, 100, 1 0 3
35.81, 2.508, 51, 1 3 1
51.51, 1.774, 24, 2 4 -3
51.61, 1.771, 12, 3 1 2
61.22, 1.514, 11, 2 -5 3
61.32, 1.512, 29, 3 4 0
61.42, 1.510, 4, 2 3 4
64.24, 1.450, 3, 0 6 -4
64.38, 1.447, 9, 2 0 6

Cell and atoms:
```
data_Tb5Pm2Ho12
_cell_length_a 6.1409
_cell_length_b 9.3904
_cell_length_c 10.6385
_cell_angle_alpha 101.02
_cell_angle_beta 95.55
_cell_angle_gamma 90.11
_space_group_name_H-M_alt 'P -1'
_space_group_IT_number 2
loop_
_space_group_symop_operation_xyz
'x,y,z'
'-x,-y,-z'
loop_
_atom_site_label
_atom_site_fract_x
_atom_site_fract_y
_atom_site_fract_z
Tb1 0.0000 0.0000 0.0000
Tb2 0.1583 0.6318 0.9480
Tb3 0.2623 0.0526 0.5794
Pm1 0.4207 0.6845 0.5264
Ho1 0.0528 0.2102 0.3147
Ho2 0.1046 0.4208 0.6327
Ho3 0.2107 0.8423 0.2620
Ho4 0.3157 0.2632 0.8954
Ho5 0.3683 0.4740 0.2090
Ho6 0.4738 0.8950 0.8433
```